[1]
Diffraction record for PuMnCo2O6. The powder diffractogram is simulated, not measured: it uses DFT lattice parameters and positions (PBE+U) and Cu Ka.

Atomic structure:
a = 5.246 Å, b = 5.261 Å, c = 5.622 Å
α = 89.99°, β = 62.48°, γ = 60.25°
Space group P1 (No. 1)
Inequivalent atoms, fractional coordinates:
1 Pu 0.000 0.000 0.000 (multiplicity 1)
2 Mn 0.005 0.499 0.494 (multiplicity 1)
3 Co 0.410 0.295 0.882 (multiplicity 1)
4 Co 0.420 0.791 0.376 (multiplicity 1)
5 O 0.176 0.596 0.705 (multiplicity 1)
6 O 0.186 0.701 0.223 (multiplicity 1)
7 O 0.480 0.113 0.222 (multiplicity 1)
8 O 0.519 0.884 0.706 (multiplicity 1)
9 O 0.887 0.229 0.708 (multiplicity 1)
10 O 0.894 0.408 0.224 (multiplicity 1)

Most intense lines, 10 to 90 degrees two-theta, by angle:
(hkl)	2θ/deg	d [Å]	Rel. int.
0 0 1	18.64	4.760	47
0 1 0	20.37	4.361	36
1 0 1	20.52	4.329	73
1 0 0	23.06	3.856	41
1 1 1	23.21	3.832	81
0 1 1	31.68	2.824	56
1 1 -1	31.86	2.809	55
1 0 2	32.00	2.797	54
1 -1 1	34.05	2.633	100
2 1 1	34.19	2.623	49
2 1 0	39.09	2.305	35
0 2 -2	47.45	1.916	42


[2]
Diffraction record for Mn3Co3Sb2O16. The powder diffractogram is simulated, not measured: it uses DFT lattice parameters and positions (PBE+U) and Cu Ka.

Atomic structure:
a = 5.796 Å, b = 5.805 Å, c = 9.272 Å
α = 90.31°, β = 90.10°, γ = 119.79°
Space group P1 (No. 1)
Inequivalent atoms, fractional coordinates:
1 Mn 0.000 0.000 0.000 (multiplicity 1)
2 Mn 0.001 0.496 0.000 (multiplicity 1)
3 Mn 0.165 0.838 0.499 (multiplicity 1)
4 Co 0.498 0.497 0.994 (multiplicity 1)
5 Co 0.660 0.841 0.499 (multiplicity 1)
6 Co 0.661 0.338 0.496 (multiplicity 1)
7 Sb 0.167 0.330 0.278 (multiplicity 1)
8 Sb 0.501 0.000 0.774 (multiplicity 1)
9 O 0.001 0.505 0.386 (multiplicity 1)
10 O 0.161 0.826 0.889 (multiplicity 1)
11 O 0.165 0.329 0.897 (multiplicity 1)
12 O 0.301 0.167 0.128 (multiplicity 1)
13 O 0.307 0.626 0.126 (multiplicity 1)
14 O 0.332 0.139 0.629 (multiplicity 1)
15 O 0.348 0.703 0.619 (multiplicity 1)
16 O 0.498 0.008 0.399 (multiplicity 1)
17 O 0.506 0.506 0.389 (multiplicity 1)
18 O 0.670 0.336 0.887 (multiplicity 1)
19 O 0.672 0.834 0.885 (multiplicity 1)
20 O 0.792 0.149 0.621 (multiplicity 1)
21 O 0.824 0.667 0.593 (multiplicity 1)
22 O 0.829 0.664 0.096 (multiplicity 1)
23 O 0.864 0.182 0.121 (multiplicity 1)
24 O 0.989 0.991 0.387 (multiplicity 1)

Most intense lines, 10 to 90 degrees two-theta, by angle:
(hkl)	2θ/deg	d [Å]	Rel. int.
0 0 2	19.15	4.636	19
1 0 -1	20.02	4.435	49
1 0 1	20.12	4.413	100
0 1 -2	26.05	3.421	19
-1 1 2	26.19	3.402	31
1 0 -3	33.94	2.641	17
1 -1 3	34.09	2.630	26
1 1 -2	36.38	2.469	23
2 -1 2	36.59	2.456	45
2 -2 1	37.10	2.423	32
-2 2 3	46.68	1.946	20
-2 2 5	62.37	1.489	19